Record 1
Starting from a cell relaxed with GGA-PBE, the XRD peak list of Pm5Ge2Ir2 was simulated for copper Kα.
Peak positions follow from Bragg's law for the DFT cell and can differ from measured ones.

Peak list (10 most intense, 2θ from 5° to 70°, sorted by position)
(3 1 2), 31.3°, intensity 89
(0 2 2), 32.8°, intensity 67
(4 2 0), 33.0°, intensity 80
(5 1 1), 33.6°, intensity 55
(4 2 1), 35.0°, intensity 47
(6 0 0), 35.2°, intensity 41
(1 3 1), 37.3°, intensity 100
(3 3 1), 41.0°, intensity 38
(5 3 1), 47.7°, intensity 64
(10 2 0), 65.7°, intensity 35

Structure:
a = 15.2820 Å, b = 7.7148 Å, c = 7.7218 Å
α = 90.00°, β = 90.00°, γ = 90.00°
Space group Cmce (No. 64)
Unique sites:
Pm1 0.0000 0.0000 0.0000 (multiplicity 4)
Pm2 0.1461 0.1764 0.3356 (multiplicity 16)
Ge1 0.0000 0.1210 0.6173 (multiplicity 8)
Ir1 0.1992 0.0000 0.0000 (multiplicity 8)



Record 2
Starting from a cell relaxed with GGA-PBE, the XRD peak list of Ac2PuWN6 was simulated for copper Kα.
Peak positions follow from Bragg's law for the DFT cell and can differ from measured ones.

Peak list (10 most intense, 2θ from 5° to 70°, sorted by position)
(0 0 2), 29.8°, intensity 20
(2 0 0), 30.3°, intensity 100
(1 0 2), 33.6°, intensity 1
(2 0 2), 43.0°, intensity 19
(0 4 0), 43.6°, intensity 10
(1 2 3), 53.2°, intensity 15
(3 2 1), 53.7°, intensity 25
(2 4 0), 54.0°, intensity 8
(0 0 4), 62.0°, intensity 3
(4 0 0), 62.9°, intensity 15

Structure:
a = 5.9104 Å, b = 8.2997 Å, c = 5.9870 Å
α = 90.00°, β = 90.00°, γ = 90.00°
Space group Pmmn (No. 59, origin choice 2)
Unique sites:
Ac1 0.2500 0.0013 0.2286 (multiplicity 4)
Pu1 0.2500 0.2500 0.7527 (multiplicity 2)
W1 0.2500 0.7500 0.7218 (multiplicity 2)
N1 0.0006 0.2500 0.9923 (multiplicity 4)
N2 0.0024 0.7500 0.5125 (multiplicity 4)
N3 0.2500 0.5136 0.7742 (multiplicity 4)



Record 3
Starting from a cell relaxed with GGA-PBE, the XRD peak list of Ta3Al2CoC was simulated for copper Kα.
Peak positions follow from Bragg's law for the DFT cell and can differ from measured ones.

Peak list (10 most intense, 2θ from 5° to 70°, sorted by position)
(1 1 1), 13.2°, intensity 39
(4 0 0), 30.8°, intensity 31
(3 3 1), 33.7°, intensity 52
(4 2 2), 38.0°, intensity 68
(3 3 3), 40.4°, intensity 100
(4 4 0), 44.1°, intensity 25
(5 5 1), 56.6°, intensity 20
(5 5 3), 61.3°, intensity 10
(7 3 3), 65.9°, intensity 18
(6 6 0), 68.6°, intensity 57

Structure:
a = 11.6074 Å, b = 11.6074 Å, c = 11.6074 Å
α = 90.00°, β = 90.00°, γ = 90.00°
Space group Fd-3m (No. 227, origin choice 2)
Unique sites:
Ta1 0.0636 0.3750 0.3750 (multiplicity 48)
Al1 0.0432 0.0432 0.7068 (multiplicity 32)
Co1 0.0000 0.0000 0.5000 (multiplicity 16)
C1 0.0000 0.0000 0.0000 (multiplicity 16)



Record 4
Starting from a cell relaxed with GGA-PBE, the XRD peak list of CsAuS2O8 was simulated for copper Kα.
Peak positions follow from Bragg's law for the DFT cell and can differ from measured ones.

Peak list (10 most intense, 2θ from 5° to 70°, sorted by position)
(1 1 0), 13.1°, intensity 69
(2 0 0), 18.1°, intensity 76
(0 2 1), 21.5°, intensity 97
(1 2 -1), 21.8°, intensity 97
(1 2 1), 24.9°, intensity 77
(1 0 2), 25.5°, intensity 85
(2 2 -1), 25.6°, intensity 100
(3 0 -2), 27.5°, intensity 65
(3 2 1), 38.1°, intensity 50
(1 4 -2), 43.2°, intensity 51

Structure:
a = 10.5331 Å, b = 9.4109 Å, c = 9.2485 Å
α = 90.00°, β = 111.70°, γ = 90.00°
Space group P2_1/c (No. 14)
Unique sites:
Cs1 0.2415 0.1350 0.3880 (multiplicity 4)
Au1 0.2892 0.6443 0.3697 (multiplicity 4)
S1 0.0983 0.7390 0.5440 (multiplicity 4)
S2 0.4738 0.5239 0.6965 (multiplicity 4)
O1 0.0408 0.2384 0.5636 (multiplicity 4)
O2 0.1187 0.6443 0.1708 (multiplicity 4)
O3 0.1349 0.5995 0.6111 (multiplicity 4)
O4 0.2010 0.7106 0.9681 (multiplicity 4)
O5 0.3709 0.5121 0.2518 (multiplicity 4)
O6 0.3864 0.0968 0.1320 (multiplicity 4)
O7 0.4563 0.6402 0.5707 (multiplicity 4)
O8 0.4638 0.5892 0.8341 (multiplicity 4)



Record 5
Starting from a cell relaxed with GGA-PBE, the XRD peak list of Rb2NbAsCl6 was simulated for copper Kα.
Peak positions follow from Bragg's law for the DFT cell and can differ from measured ones.

Peak list (10 most intense, 2θ from 5° to 70°, sorted by position)
(1 1 2), 22.8°, intensity 100
(2 0 0), 25.0°, intensity 38
(2 0 2), 28.9°, intensity 32
(0 0 4), 29.0°, intensity 46
(2 2 0), 35.6°, intensity 62
(3 1 2), 42.7°, intensity 39
(2 2 4), 46.5°, intensity 47
(1 1 6), 47.8°, intensity 21
(4 0 0), 51.2°, intensity 20
(4 0 4), 59.9°, intensity 28

Structure:
a = 7.1375 Å, b = 7.1375 Å, c = 12.3148 Å
α = 90.00°, β = 90.00°, γ = 90.00°
Space group I4/mmm (No. 139)
Unique sites:
Rb1 0.0000 0.5000 0.2500 (multiplicity 4)
Nb1 0.0000 0.0000 0.0000 (multiplicity 2)
As1 0.0000 0.0000 0.5000 (multiplicity 2)
Cl1 0.0000 0.0000 0.2040 (multiplicity 4)
Cl2 0.2493 0.2493 0.0000 (multiplicity 8)



Record 6
Starting from a cell relaxed with GGA-PBE, the XRD peak list of CsMnTlCl6 was simulated for copper Kα.
Peak positions follow from Bragg's law for the DFT cell and can differ from measured ones.

Peak list (10 most intense, 2θ from 5° to 70°, sorted by position)
(0 0 1), 11.4°, intensity 26
(1 0 1), 18.9°, intensity 100
(1 1 0), 26.3°, intensity 21
(2 -1 1), 28.7°, intensity 14
(2 0 1), 32.6°, intensity 21
(2 -1 2), 35.1°, intensity 55
(3 -1 1), 42.3°, intensity 25
(3 0 0), 46.3°, intensity 16
(0 0 4), 46.7°, intensity 16
(1 1 4), 54.3°, intensity 23

Structure:
a = 6.7893 Å, b = 6.7893 Å, c = 7.7861 Å
α = 90.00°, β = 90.00°, γ = 120.00°
Space group P312 (No. 149)
Unique sites:
Cs1 0.0000 0.0000 0.0000 (multiplicity 1)
Mn1 0.3333 0.6667 0.5000 (multiplicity 1)
Tl1 0.6667 0.3333 0.5000 (multiplicity 1)
Cl1 0.0107 0.3841 0.6915 (multiplicity 6)



Record 7
Starting from a cell relaxed with GGA-PBE, the XRD peak list of PmSc4 was simulated for copper Kα.
Peak positions follow from Bragg's law for the DFT cell and can differ from measured ones.

Peak list (10 most intense, 2θ from 5° to 70°, sorted by position)
(1 1 0), 16.9°, intensity 21
(1 0 1), 22.2°, intensity 23
(2 0 0), 24.0°, intensity 11
(1 2 1), 32.9°, intensity 100
(0 0 2), 37.9°, intensity 15
(3 1 0), 38.3°, intensity 33
(3 1 2), 55.0°, intensity 22
(2 4 0), 55.3°, intensity 10
(1 2 3), 65.3°, intensity 13
(5 0 1), 65.9°, intensity 23

Structure:
a = 7.4273 Å, b = 7.4273 Å, c = 4.7476 Å
α = 90.00°, β = 90.00°, γ = 90.00°
Space group I4/m (No. 87)
Unique sites:
Pm1 0.0000 0.0000 0.0000 (multiplicity 2)
Sc1 0.0973 0.6981 0.5000 (multiplicity 8)